Li2Cr3FeO8: calculated powder XRD pattern (CuKα), based on a crystal structure in Alexandria, relaxed with GGA+U.
Lines closer than 0.1° are merged.

The 6 most intense peaks (10 to 90 degrees two-theta), sorted by position:
2θ/deg	intensity	hkl
18.07	100	0 0 1
35.75	33	2 2 -1
43.17	57	2 2 -2
56.74	15	4 0 1
62.22	14	2 2 2
63.19	15	0 4 0

Crystal structure
Unit cell a=10.2005 b=5.8827 c=5.9674 alpha=90.00 beta=124.67 gamma=90.00
Space group C2/m (No. 12)
One atom of each set of equivalent atoms:
1 Li 0.2500 0.2500 0.0000 (multiplicity 4)
2 Cr 0.0000 0.0000 0.5000 (multiplicity 2)
3 Cr 0.2500 0.2500 0.5000 (multiplicity 4)
4 Fe 0.0000 0.5000 0.5000 (multiplicity 2)
5 O 0.0091 0.2518 0.2961 (multiplicity 8)
6 O 0.2295 0.0000 0.7112 (multiplicity 4)
7 O 0.2313 0.5000 0.7125 (multiplicity 4)